Computed X-ray diffraction stick pattern
Compound: Li2IrWO6
Radiation: a wavelength of 1.5418 Å
Structure: a structure optimized by DFT (PBE+U)
Intensities are scaled so that the largest is 100.

Crystal structure
Cell: 5.5805 5.5805 3.8918 Å, 90.00 90.00 90.00°
Atoms (fractional coordinates):
1 Li 0.0000 0.5000 0.0000
2 Li 0.5000 0.0000 0.0000
3 Ir 0.0000 0.0000 0.8194
4 W 0.5000 0.5000 0.7947
5 O 0.0000 0.0000 0.3204
6 O 0.2561 0.2561 0.8327
7 O 0.2561 0.7439 0.8327
8 O 0.5000 0.5000 0.3162
9 O 0.7439 0.2561 0.8327
10 O 0.7439 0.7439 0.8327

Most intense lines, 2θ = 10–90°, most intense first:
(1 1 0), d = 3.946 Å, I = 100
(1 1 1), d = 2.771 Å, I = 57
(0 0 1), d = 3.892 Å, I = 52
(2 0 0), d = 2.790 Å, I = 32
(3 1 1), d = 1.607 Å, I = 24
(2 0 1), d = 2.268 Å, I = 23
(2 2 1), d = 1.760 Å, I = 22
(2 2 0), d = 1.973 Å, I = 22